RbTlCl6: theoretical XRD peak list (a wavelength of 1.5418 Å), based on a GGA-PBE-relaxed structure.
Intensities are scaled so that the largest is 100.

The 10 most intense peaks (10° ≤ 2θ ≤ 80°), by intensity:
Position (°2θ), d_spacing, I_rel
34.39, 2.608, 100
19.01, 4.668, 82
20.87, 4.256, 74
14.08, 6.290, 48
46.93, 1.936, 40
23.74, 3.748, 32
38.58, 2.334, 29
69.20, 1.358, 19
28.38, 3.145, 18
44.26, 2.046, 16

Structural model:
Cell lengths 6.339, 6.339, 6.339 Å; angles 94.84, 94.84, 94.84 degrees
Atoms (fractional coordinates):
1 Rb 0.000 0.000 0.000
2 Tl 0.500 0.500 0.500
3 Cl 0.209 0.209 0.589
4 Cl 0.209 0.589 0.209
5 Cl 0.411 0.791 0.791
6 Cl 0.589 0.209 0.209
7 Cl 0.791 0.411 0.791
8 Cl 0.791 0.791 0.411



RbTlV2Cl8: theoretical XRD peak list (a wavelength of 1.5418 Å), based on a GGA-PBE-relaxed structure.
Intensities are scaled so that the largest is 100.

The 10 most intense peaks (10° ≤ 2θ ≤ 80°), by intensity:
Position (°2θ), d_spacing, I_rel
19.25, 4.611, 100
31.83, 2.811, 57
25.64, 3.474, 53
28.97, 3.082, 45
46.06, 1.970, 33
45.20, 2.006, 29
41.65, 2.168, 28
32.26, 2.775, 25
21.39, 4.154, 22
47.32, 1.921, 19

Structural model:
Cell lengths 10.376, 10.376, 10.376 Å; angles 39.13, 39.13, 39.13 degrees
Atoms (fractional coordinates):
1 Rb 0.000 0.000 0.000
2 Tl 0.500 0.500 0.500
3 V 0.257 0.257 0.257
4 V 0.743 0.743 0.743
5 Cl 0.041 0.825 0.438
6 Cl 0.175 0.562 0.959
7 Cl 0.335 0.335 0.335
8 Cl 0.438 0.041 0.825
9 Cl 0.562 0.959 0.175
10 Cl 0.665 0.665 0.665
11 Cl 0.825 0.438 0.041
12 Cl 0.959 0.175 0.562



Rb2TlZnCl6: theoretical XRD peak list (a wavelength of 1.5418 Å), based on a GGA-PBE-relaxed structure.
Intensities are scaled so that the largest is 100.

The 10 most intense peaks (10° ≤ 2θ ≤ 80°), by intensity:
Position (°2θ), d_spacing, I_rel
23.83, 3.734, 100
41.91, 2.156, 45
34.00, 2.637, 42
48.75, 1.868, 28
16.79, 5.280, 25
33.86, 2.647, 21
28.02, 3.184, 17
66.27, 1.410, 17
14.53, 6.097, 16
55.06, 1.668, 15

Structural model:
Cell lengths 7.457, 10.589, 7.457 Å; angles 90.00, 90.00, 90.00 degrees
Atoms (fractional coordinates):
1 Rb 0.250 0.000 0.250
2 Rb 0.250 0.500 0.250
3 Rb 0.750 0.000 0.750
4 Rb 0.750 0.500 0.750
5 Tl 0.250 0.250 0.749
6 Tl 0.750 0.750 0.251
7 Zn 0.250 0.750 0.751
8 Zn 0.750 0.250 0.249
9 Cl 0.015 0.750 0.518
10 Cl 0.016 0.750 0.986
11 Cl 0.250 0.515 0.751
12 Cl 0.250 0.985 0.751
13 Cl 0.484 0.750 0.986
14 Cl 0.485 0.750 0.518
15 Cl 0.515 0.250 0.482
16 Cl 0.516 0.250 0.014
17 Cl 0.750 0.015 0.249
18 Cl 0.750 0.485 0.249
19 Cl 0.984 0.250 0.014
20 Cl 0.985 0.250 0.482



Rb4UCl10: theoretical XRD peak list (a wavelength of 1.5418 Å), based on a GGA-PBE-relaxed structure.
Intensities are scaled so that the largest is 100.

The 10 most intense peaks (10° ≤ 2θ ≤ 80°), by intensity:
Position (°2θ), d_spacing, I_rel
20.47, 4.340, 100
33.69, 2.660, 64
39.83, 2.263, 33
33.80, 2.652, 29
13.91, 6.367, 27
10.55, 8.387, 22
39.65, 2.273, 18
53.06, 1.726, 16
14.94, 5.930, 15
60.39, 1.533, 15

Structural model:
Cell lengths 9.197, 9.197, 9.197 Å; angles 99.69, 99.69, 131.55 degrees
Atoms (fractional coordinates):
1 Rb 0.095 0.305 0.400
2 Rb 0.305 0.905 0.210
3 Rb 0.695 0.095 0.790
4 Rb 0.905 0.695 0.600
5 U 0.500 0.500 0.000
6 Cl 0.135 0.204 0.749
7 Cl 0.204 0.455 0.069
8 Cl 0.250 0.750 0.500
9 Cl 0.386 0.135 0.931
10 Cl 0.455 0.386 0.251
11 Cl 0.545 0.614 0.749
12 Cl 0.614 0.865 0.069
13 Cl 0.750 0.250 0.500
14 Cl 0.796 0.545 0.931
15 Cl 0.865 0.796 0.251